[1]
# RbNaCdAu
Computed X-ray powder pattern, Cu Kα X-rays. Input: a structure optimized by DFT (PBE).

Structural model:
a = 4.9942 Å, b = 4.9942 Å, c = 7.0188 Å
α = 111.00°, β = 111.00°, γ = 60.04°
Atoms (fractional coordinates):
1 Rb 0.0000 0.0000 0.0000
2 Na 0.8066 0.8066 0.4233
3 Cd 0.5363 0.5363 0.6109
4 Au 0.1990 0.1990 0.5999

Top 12 peaks for 2θ = 10–90°, in order of rising 2θ:
Position (°2θ), I_rel
13.86, 100
21.05, 37
22.55, 35
27.78, 50
27.93, 34
31.17, 55
35.96, 85
38.71, 51
46.05, 26
46.16, 39
48.31, 16
56.76, 19



[2]
# In7Sn2Hg2Bi
Computed X-ray powder pattern, Cu Kα X-rays. Input: a structure optimized by DFT (PBE).

Structural model:
a = 12.1558 Å, b = 12.1558 Å, c = 5.3432 Å
α = 102.43°, β = 102.43°, γ = 25.37°
Atoms (fractional coordinates):
1 In 0.0000 0.0000 0.0000
2 In 0.0887 0.0887 0.5927
3 In 0.3286 0.3286 0.3386
4 In 0.4114 0.4114 0.9151
5 In 0.5886 0.5886 0.0849
6 In 0.6714 0.6714 0.6614
7 In 0.9113 0.9113 0.4073
8 Sn 0.2500 0.2500 0.7672
9 Sn 0.7500 0.7500 0.2328
10 Hg 0.1661 0.1661 0.1744
11 Hg 0.8339 0.8339 0.8256
12 Bi 0.5000 0.5000 0.5000

Top 12 peaks for 2θ = 10–90°, in order of rising 2θ:
Position (°2θ), I_rel
20.22, 15
33.15, 100
33.27, 98
33.56, 98
47.14, 18
48.20, 35
59.11, 18
59.65, 18
59.80, 36
59.87, 18
69.57, 11
80.35, 15



Question: What is the formula in the second record?
Answer: In7Sn2Hg2Bi



Question: Which formula does entry 2 have?
Answer: In7Sn2Hg2Bi